# 1
Diffraction record for Y7Zn2Au2. The X-ray powder pattern is theoretical, not measured: it uses a GGA-PBE-relaxed structure and Cu Ka.
Intensities are scaled so that the largest is 100.

Unit cell a=7.6983 b=10.9680 c=7.3961 alpha=90.00 beta=90.00 gamma=90.00
Space group Cmmm (No. 65)
Symmetry-distinct sites (fractional):
Y 0.0000 0.0000 0.0000
Y 0.0000 0.5000 0.2652
Y 0.2500 0.2500 0.2779
Zn 0.1663 0.0000 0.5000
Au 0.0000 0.2946 0.0000

Principal peaks in the range 5° ≤ 2θ ≤ 70°, by angle:
(0 0 1), 12.0 deg, I = 35
(0 2 1), 20.2 deg, I = 39
(2 0 1), 26.1 deg, I = 68
(1 3 1), 29.6 deg, I = 29
(0 4 0), 32.7 deg, I = 47
(2 0 2), 33.6 deg, I = 32
(1 3 2), 36.5 deg, I = 76
(2 2 2), 37.5 deg, I = 100

***

# 2
Diffraction record for In2CuRu. The X-ray powder pattern is theoretical, not measured: it uses a GGA-PBE-relaxed structure and Cu Ka.
Intensities are scaled so that the largest is 100.

Unit cell a=10.0303 b=3.2669 c=4.4917 alpha=90.00 beta=109.43 gamma=90.00
Space group Cm (No. 8)
Symmetry-distinct sites (fractional):
In 0.0000 0.0000 0.0000
In 0.2265 0.0000 0.6445
Cu 0.4696 0.0000 0.4731
Ru 0.2430 0.5000 0.1515

Principal peaks in the range 5° ≤ 2θ ≤ 70°, by angle:
(1 1 -1), 34.0 deg, I = 12
(1 1 1), 37.9 deg, I = 100
(4 0 0), 38.1 deg, I = 50
(3 1 -1), 40.4 deg, I = 85
(2 0 -2), 40.5 deg, I = 34
(2 0 2), 52.9 deg, I = 13
(0 2 0), 56.3 deg, I = 17
(5 1 1), 66.9 deg, I = 14

***

# 3
Diffraction record for Ce2TlCd6. The X-ray powder pattern is theoretical, not measured: it uses a GGA-PBE-relaxed structure and Cu Ka.
Intensities are scaled so that the largest is 100.

Unit cell a=9.0034 b=9.0034 c=9.5240 alpha=90.00 beta=90.00 gamma=120.00
Space group R-3m (No. 166, hexagonal axes)
Symmetry-distinct sites (fractional):
Ce 0.0000 0.0000 0.1453
Tl 0.0000 0.0000 0.5000
Cd 0.0000 0.3372 0.0000

Principal peaks in the range 5° ≤ 2θ ≤ 70°, by angle:
(1 1 0), 19.7 deg, I = 3
(0 1 2), 21.9 deg, I = 2
(3 0 0), 34.5 deg, I = 100
(3 0 3), 45.1 deg, I = 2
(2 2 3), 49.7 deg, I = 17
(0 0 6), 58.1 deg, I = 3
(3 3 0), 61.9 deg, I = 27
(3 0 6), 69.4 deg, I = 11

***

# 4
Diffraction record for Ba2Ag15Pb2. The X-ray powder pattern is theoretical, not measured: it uses a GGA-PBE-relaxed structure and Cu Ka.
Intensities are scaled so that the largest is 100.

Unit cell a=10.1177 b=10.1177 c=14.4366 alpha=90.00 beta=90.00 gamma=120.00
Space group R-3m (No. 166, hexagonal axes)
Symmetry-distinct sites (fractional):
Ba 0.0000 0.0000 0.1531
Ag 0.0000 0.3088 0.5000
Ag 0.0000 0.5000 0.0000
Ag 0.0034 0.5017 0.6565
Pb 0.0000 0.0000 0.3978

Principal peaks in the range 5° ≤ 2θ ≤ 70°, by angle:
(3 0 0), 30.6 deg, I = 62
(0 2 4), 32.1 deg, I = 37
(2 2 0), 35.5 deg, I = 85
(0 3 3), 36.0 deg, I = 100
(0 0 6), 37.3 deg, I = 53
(2 2 3), 40.3 deg, I = 91
(1 1 6), 41.5 deg, I = 40
(6 0 0), 63.7 deg, I = 37